Structure and computed X-ray diffraction stick pattern of Pm3Y2Tm6 (a DFT-relaxed cell (GGA-PBE, Alexandria); Cu Kα (λ = 1.5418 Å)).
Intensities are scaled so that the largest is 100.

Cell lengths 6.121, 10.621, 11.554 Å; angles 90.00, 100.29, 90.00 degrees
Space group C2/m (No. 12)
Unique sites:
Pm: 0.000 0.000 0.000 (multiplicity 2)
Pm: 0.000 0.335 0.000 (multiplicity 4)
Y: 0.000 0.166 0.500 (multiplicity 4)
Tm: 0.249 0.000 0.748 (multiplicity 4)
Tm: 0.249 0.333 0.748 (multiplicity 8)

The 12 most intense peaks (15° ≤ 2θ ≤ 90°), in order of rising 2θ:
(0 0 2), 5.684 Å, 2θ 15.59, I 9
(1 3 1), 2.883 Å, 2θ 31.02, I 100
(0 0 4), 2.842 Å, 2θ 31.48, I 32
(2 0 2), 2.488 Å, 2θ 36.11, I 67
(0 6 0), 1.770 Å, 2θ 51.64, I 8
(3 3 -1), 1.768 Å, 2θ 51.71, I 16
(1 3 5), 1.750 Å, 2θ 52.28, I 23
(2 6 -2), 1.508 Å, 2θ 61.47, I 9
(0 6 4), 1.502 Å, 2θ 61.74, I 19
(3 3 3), 1.500 Å, 2θ 61.86, I 9
(1 3 -7), 1.491 Å, 2θ 62.28, I 9
(2 6 2), 1.441 Å, 2θ 64.66, I 12